Starting from a cell relaxed with GGA-PBE, the X-ray powder pattern of Er3TmSb was computed for Cu Kα, 1.54184 Å.
No peak broadening, texture or thermal motion is included.

Crystal structure
```
data_Er3TmSb
_symmetry_space_group_name_H-M 'P n m a'
_symmetry_Int_Tables_number 62
_cell_length_a 10.5029
_cell_length_b 3.9056
_cell_length_c 14.3943
_cell_angle_alpha 90.00
_cell_angle_beta 90.00
_cell_angle_gamma 90.00
loop_
_symmetry_equiv_pos_as_xyz
'x,y,z'
'-x,-y,-z'
'-x+1/2,-y,z+1/2'
'x+1/2,y,-z+1/2'
'x+1/2,-y+1/2,-z+1/2'
'-x+1/2,y+1/2,z+1/2'
'-x,y+1/2,-z'
'x,-y+1/2,z'
loop_
_atom_site_label
_atom_site_type_symbol
_atom_site_fract_x
_atom_site_fract_y
_atom_site_fract_z
Er1 Er 0.0878 0.2500 0.0742
Er2 Er 0.1156 0.7500 0.2654
Er3 Er 0.1310 0.7500 0.6808
Tm1 Tm 0.1610 0.2500 0.4696
Sb1 Sb 0.1294 0.2500 0.8618
```

Main lines, by angle (10 to 90 degrees two-theta):
index, Position (°2θ), I (rel.)
0 1 3, 29.49, 24
1 1 3, 30.72, 50
2 1 2, 31.13, 100
1 0 5, 32.24, 22
4 0 0, 34.15, 37
3 1 1, 34.97, 27
2 0 5, 35.56, 53
0 2 0, 46.50, 23
4 2 0, 58.94, 15
2 2 5, 59.88, 23